Record 1
Theoretical X-ray powder pattern of YCu for λ = 1.5418 Å (Cu Kα), from DFT lattice parameters and positions (PBE).

Structure:
Cell lengths 3.4791, 3.4791, 3.4791 Å; angles 90.00, 90.00, 90.00 degrees
Space group Pm-3m (No. 221)
Asymmetric unit:
Y  0.0000  0.0000  0.0000 [1 per cell]
Cu  0.5000  0.5000  0.5000 [1 per cell]

The 6 most intense peaks (2θ from 10° to 90°), in order of rising 2θ:
- 2θ = 25.6°, rel. 24, (1 0 0)
- 2θ = 36.5°, rel. 1000, (1 1 0)
- 2θ = 52.6°, rel. 168, (2 0 0)
- 2θ = 65.7°, rel. 330, (2 1 1)
- 2θ = 77.6°, rel. 100, (2 2 0)
- 2θ = 89.0°, rel. 142, (3 1 0)


Record 2
Theoretical X-ray powder pattern of ZnCu3 for λ = 1.5418 Å (Cu Kα), from DFT lattice parameters and positions (PBE).

Structure:
Cell lengths 2.6088, 2.6088, 8.3660 Å; angles 90.00, 90.00, 120.00 degrees
Space group P-6m2 (No. 187)
Asymmetric unit:
Zn  0.0000  0.0000  0.0000 [1 per cell]
Cu  0.0000  0.0000  0.5000 [1 per cell]
Cu  0.6667  0.3333  0.2544 [2 per cell]

The 6 most intense peaks (2θ from 10° to 90°), in order of rising 2θ:
- 2θ = 39.9°, rel. 250, (1 0 0)
- 2θ = 43.3°, rel. 260, (0 0 4)
- 2θ = 45.6°, rel. 1000, (1 0 2)
- 2θ = 72.5°, rel. 151, (1 1 0)
- 2θ = 81.0°, rel. 161, (1 0 6)
- 2θ = 88.3°, rel. 174, (1 1 4)


Record 3
Theoretical X-ray powder pattern of ZnCu for λ = 1.5418 Å (Cu Kα), from DFT lattice parameters and positions (PBE).

Structure:
Cell lengths 2.9761, 4.2426, 4.1407 Å; angles 90.00, 90.00, 90.00 degrees
Space group Cmmm (No. 65)
Asymmetric unit:
Zn  0.0000  0.0000  0.0000 [2 per cell]
Cu  0.0000  0.5000  0.5000 [2 per cell]

The 6 most intense peaks (2θ from 10° to 90°), in order of rising 2θ:
- 2θ = 42.6°, rel. 258, (0 2 0)
- 2θ = 43.1°, rel. 1000, (1 1 1)
- 2θ = 43.7°, rel. 239, (0 0 2)
- 2θ = 62.7°, rel. 152, (0 2 2)
- 2θ = 78.3°, rel. 151, (1 3 1)
- 2θ = 79.9°, rel. 143, (1 1 3)


Record 4
Theoretical X-ray powder pattern of ZnCu for λ = 1.5418 Å (Cu Kα), from DFT lattice parameters and positions (PBE).

Structure:
Cell lengths 2.9606, 2.9606, 2.9606 Å; angles 90.00, 90.00, 90.00 degrees
Space group Pm-3m (No. 221)
Asymmetric unit:
Zn  0.0000  0.0000  0.0000 [1 per cell]
Cu  0.5000  0.5000  0.5000 [1 per cell]

The 3 most intense peaks (2θ from 10° to 90°), in order of rising 2θ:
- 2θ = 43.2°, rel. 1000, (1 1 0)
- 2θ = 62.8°, rel. 153, (2 0 0)
- 2θ = 79.3°, rel. 296, (2 1 1)


Record 5
Theoretical X-ray powder pattern of Zn35Cu17 for λ = 1.5418 Å (Cu Kα), from DFT lattice parameters and positions (PBE).

Structure:
Cell lengths 7.6856, 7.6879, 12.6237 Å; angles 89.94, 89.93, 70.68 degrees
Space group P1 (No. 1)
Asymmetric unit:
Zn  0.0000  0.0000  0.0000 [1 per cell]
Zn  0.0000  0.9997  0.2756 [1 per cell]
Zn  0.0160  0.4200  0.6351 [1 per cell]
Zn  0.0624  0.3101  0.3133 [1 per cell]
Zn  0.0668  0.3078  0.9643 [1 per cell]
Zn  0.1516  0.1505  0.4989 [1 per cell]
Zn  0.1540  0.4971  0.1379 [1 per cell]
Zn  0.1547  0.1482  0.7753 [1 per cell]
Zn  0.2294  0.6377  0.6370 [1 per cell]
Zn  0.2398  0.7931  0.1379 [1 per cell]
Zn  0.3411  0.5889  0.3134 [1 per cell]
Zn  0.3410  0.5886  0.9620 [1 per cell]
Zn  0.3582  0.9109  0.6369 [1 per cell]
Zn  0.4083  0.2428  0.2474 [1 per cell]
Zn  0.4089  0.2425  0.0285 [1 per cell]
Zn  0.4759  0.1750  0.4479 [1 per cell]
Zn  0.4759  0.1756  0.8273 [1 per cell]
Zn  0.4949  0.5008  0.7747 [1 per cell]
Zn  0.4998  0.5000  0.4991 [1 per cell]
Zn  0.5134  0.9215  0.1381 [1 per cell]
Zn  0.5599  0.8133  0.8133 [1 per cell]
Zn  0.5622  0.8101  0.4613 [1 per cell]
Zn  0.6495  0.6532  0.0017 [1 per cell]
Zn  0.6512  0.6511  0.2757 [1 per cell]
Zn  0.6538  0.9969  0.6373 [1 per cell]
Zn  0.7304  0.1370  0.1380 [1 per cell]
Zn  0.7389  0.2916  0.6353 [1 per cell]
Zn  0.8336  0.4575  0.8173 [1 per cell]
Zn  0.8412  0.0852  0.8134 [1 per cell]
Zn  0.8413  0.0880  0.4613 [1 per cell]
Zn  0.8581  0.4112  0.1380 [1 per cell]
Zn  0.9081  0.7429  0.5274 [1 per cell]
Zn  0.9092  0.7459  0.7465 [1 per cell]
Zn  0.9761  0.6751  0.3270 [1 per cell]
Zn  0.9776  0.6772  0.9495 [1 per cell]
Cu  0.0121  0.9828  0.6375 [1 per cell]
Cu  0.1691  0.1387  0.1380 [1 per cell]
Cu  0.1843  0.4652  0.8097 [1 per cell]
Cu  0.1862  0.4651  0.4653 [1 per cell]
Cu  0.1921  0.8165  0.4594 [1 per cell]
Cu  0.1924  0.8159  0.8160 [1 per cell]
Cu  0.3346  0.9588  0.3160 [1 per cell]
Cu  0.3346  0.9588  0.9594 [1 per cell]
Cu  0.3703  0.2810  0.6377 [1 per cell]
Cu  0.5119  0.4822  0.1375 [1 per cell]
Cu  0.6688  0.6389  0.6378 [1 per cell]
Cu  0.6857  0.9653  0.3096 [1 per cell]
Cu  0.6856  0.9654  0.9655 [1 per cell]
Cu  0.6922  0.3163  0.3159 [1 per cell]
Cu  0.6922  0.3160  0.9596 [1 per cell]
Cu  0.8344  0.4590  0.4595 [1 per cell]
Cu  0.8699  0.7810  0.1376 [1 per cell]

The 6 most intense peaks (2θ from 10° to 90°), in order of rising 2θ:
- 2θ = 43.0°, rel. 253, (0 0 6)
- 2θ = 43.1°, rel. 1000, (3 0 3)
- 2θ = 43.3°, rel. 248, (3 3 0)
- 2θ = 62.7°, rel. 57, (3 3 -6)
- 2θ = 79.0°, rel. 57, (3 -3 6)
- 2θ = 79.2°, rel. 62, (6 0 0)


Record 6
Theoretical X-ray powder pattern of ZnCu2 for λ = 1.5418 Å (Cu Kα), from DFT lattice parameters and positions (PBE).

Structure:
Cell lengths 2.6375, 2.6375, 6.2605 Å; angles 90.00, 90.00, 120.00 degrees
Space group P-3m1 (No. 164)
Asymmetric unit:
Zn  0.0000  0.0000  0.0000 [1 per cell]
Cu  0.3333  0.6667  0.6630 [2 per cell]

The 6 most intense peaks (2θ from 10° to 90°), in order of rising 2θ:
- 2θ = 42.1°, rel. 1000, (1 0 1)
- 2θ = 43.4°, rel. 304, (0 0 3)
- 2θ = 49.4°, rel. 612, (0 1 2)
- 2θ = 71.5°, rel. 185, (1 1 0)
- 2θ = 73.3°, rel. 171, (1 0 4)
- 2θ = 87.5°, rel. 210, (1 1 3)


Record 7
Theoretical X-ray powder pattern of ZnCu3 for λ = 1.5418 Å (Cu Kα), from DFT lattice parameters and positions (PBE).

Structure:
Cell lengths 2.6209, 2.6209, 25.0041 Å; angles 90.00, 90.00, 120.00 degrees
Space group R-3m (No. 166, hexagonal axes)
Asymmetric unit:
Zn  0.0000  0.0000  0.0000 [3 per cell]
Cu  0.0000  0.0000  0.2486 [6 per cell]
Cu  0.0000  0.0000  0.5000 [3 per cell]

The 6 most intense peaks (2θ from 10° to 90°), in order of rising 2θ:
- 2θ = 42.4°, rel. 1000, (1 0 4)
- 2θ = 43.4°, rel. 308, (0 0 12)
- 2θ = 49.6°, rel. 613, (0 1 8)
- 2θ = 72.1°, rel. 184, (1 1 0)
- 2θ = 73.6°, rel. 170, (1 0 16)
- 2θ = 88.0°, rel. 210, (1 1 12)


Record 8
Theoretical X-ray powder pattern of ZrZnCu2 for λ = 1.5418 Å (Cu Kα), from DFT lattice parameters and positions (PBE).

Structure:
Cell lengths 3.0623, 3.0623, 6.6283 Å; angles 90.00, 90.00, 90.00 degrees
Space group P4/mmm (No. 123)
Asymmetric unit:
Zr  0.0000  0.0000  0.0000 [1 per cell]
Zn  0.0000  0.0000  0.5000 [1 per cell]
Cu  0.5000  0.5000  0.2852 [2 per cell]

The 6 most intense peaks (2θ from 10° to 90°), in order of rising 2θ:
- 2θ = 40.1°, rel. 1000, (1 0 2)
- 2θ = 41.7°, rel. 487, (1 1 0)
- 2θ = 60.5°, rel. 153, (2 0 0)
- 2θ = 71.7°, rel. 124, (1 1 4)
- 2θ = 75.0°, rel. 283, (2 1 2)
- 2θ = 86.6°, rel. 74, (2 0 4)